# Li2Si6Ni3O16
Theoretical powder diffractogram, Cu Kα X-rays. Input: a cell relaxed with GGA+U.

Structure:
```
Li2Si6Ni3O16
1.0
6.899 0.000 0.000
1.351 9.553 0.000
3.393 1.462 9.300
Li Si Ni O
4 12 6 32
Cartesian
1.021 1.154 0.302
4.037 4.994 6.512
7.606 6.020 2.788
10.622 9.860 8.998
2.724 2.397 6.856
2.368 3.925 1.126
3.905 7.109 4.174
5.513 7.139 7.911
4.222 4.334 3.497
5.804 2.362 6.781
5.839 8.653 2.519
7.421 6.680 5.803
6.130 3.875 1.389
7.739 3.905 5.126
9.275 7.090 8.174
8.919 8.617 2.444
2.556 1.628 3.742
5.682 9.324 5.651
7.392 9.686 9.042
4.251 1.329 0.258
5.961 1.691 3.649
9.087 9.386 5.558
3.947 6.690 7.942
2.569 1.133 5.813
2.597 7.260 3.193
3.875 8.157 5.387
2.509 8.894 0.944
4.278 2.929 7.040
3.050 4.639 2.420
4.001 5.518 4.640
5.833 8.727 7.864
2.628 2.336 1.076
6.200 6.288 9.126
4.196 2.834 4.047
5.978 6.391 6.518
5.173 7.313 3.169
5.690 9.881 3.590
6.325 1.962 8.237
5.318 9.053 1.063
5.953 1.134 5.710
6.470 3.702 6.131
5.666 4.623 2.782
7.447 8.180 5.253
5.443 4.727 0.174
9.015 8.678 8.224
5.810 2.288 1.436
7.642 5.497 4.660
8.594 6.376 6.881
7.365 8.085 2.260
9.134 2.121 8.356
7.768 2.857 3.913
9.047 3.754 6.108
9.074 9.881 3.487
7.697 4.324 1.358
```

The 10 most intense peaks (15° ≤ 2θ ≤ 90°), by angle:
| two_theta | I_rel |
| --- | --- |
| 24.7 | 65 |
| 27.6 | 49 |
| 29.0 | 46 |
| 29.9 | 51 |
| 30.9 | 44 |
| 31.8 | 100 |
| 33.7 | 44 |
| 34.6 | 47 |
| 38.1 | 38 |
| 53.1 | 73 |